# Rb3Ga4Pb2
Theoretical PXRD pattern, Cu Ka. Input: the GGA-PBE geometry in Alexandria.
Peak positions follow from Bragg's law for the DFT cell and can differ from measured ones.

Peak list (10 most intense, 2θ = 15–90°, by intensity)
- 26.48°, I 100
- 27.81°, I 95
- 35.02°, I 76
- 37.19°, I 72
- 32.06°, I 57
- 38.91°, I 52
- 26.35°, I 52
- 19.69°, I 45
- 44.43°, I 43
- 33.28°, I 38

Crystal structure
Lattice parameters (Å, degrees): 5.1241 7.2231 9.9564 98.98 104.90 110.66
Sites, in units of the cell vectors:
Rb1 0.0000 0.0000 0.0000
Rb2 0.2625 0.8813 0.6405
Rb3 0.7375 0.1187 0.3595
Ga1 0.3229 0.5754 0.0717
Ga2 0.4279 0.5032 0.3614
Ga3 0.5721 0.4968 0.6386
Ga4 0.6771 0.4246 0.9283
Pb1 0.0550 0.3515 0.7536
Pb2 0.9450 0.6485 0.2464

# Cu3Cl2O2
Theoretical PXRD pattern, Cu Ka. Input: the GGA-PBE geometry in Alexandria.
Peak positions follow from Bragg's law for the DFT cell and can differ from measured ones.

Peak list (10 most intense, 2θ = 15–90°, by intensity)
- 16.71°, I 100
- 36.70°, I 67
- 40.17°, I 37
- 29.09°, I 32
- 48.00°, I 29
- 46.88°, I 24
- 37.82°, I 23
- 26.53°, I 22
- 37.22°, I 17
- 49.91°, I 16

Crystal structure
Lattice parameters (Å, degrees): 3.8062 5.7761 6.0259 107.75 104.79 107.35
Sites, in units of the cell vectors:
Cu1 0.0000 0.0000 0.0000
Cu2 0.2159 0.5665 0.8471
Cu3 0.7841 0.4335 0.1529
Cl1 0.2282 0.8491 0.6586
Cl2 0.7718 0.1509 0.3414
O1 0.2270 0.3818 0.0673
O2 0.7730 0.6182 0.9327

# La4DyEr5
Theoretical PXRD pattern, Cu Ka. Input: the GGA-PBE geometry in Alexandria.
Peak positions follow from Bragg's law for the DFT cell and can differ from measured ones.

Peak list (10 most intense, 2θ = 15–90°, by intensity)
- 28.99°, I 100
- 35.34°, I 44
- 34.26°, I 23
- 59.59°, I 17
- 52.43°, I 17
- 58.71°, I 14
- 29.83°, I 13
- 50.84°, I 13
- 32.11°, I 12
- 46.90°, I 12

Crystal structure
Lattice parameters (Å, degrees): 8.1868 8.1868 8.1868 97.69 97.69 137.08
Sites, in units of the cell vectors:
La1 0.0000 0.3223 0.3223
La2 0.0000 0.6777 0.6777
La3 0.3223 0.0000 0.3223
La4 0.6777 0.0000 0.6777
Dy1 0.7511 0.7511 0.0000
Er1 0.2322 0.2322 0.0000
Er2 0.3026 0.3026 0.6233
Er3 0.3026 0.6793 0.0000
Er4 0.6793 0.3026 0.0000
Er5 0.6793 0.6793 0.3767